1.
Structure and calculated powder diffractogram of CaVO2 (a DFT-relaxed cell (GGA+U, the Materials Project); Cu Kα).

```
data_CaVO2
_cell_length_a 3.183
_cell_length_b 8.792
_cell_length_c 8.931
_cell_angle_alpha 85.09
_cell_angle_beta 79.81
_cell_angle_gamma 79.74
_symmetry_space_group_name_H-M 'P -1'
_symmetry_Int_Tables_number 2
loop_
_symmetry_equiv_pos_as_xyz
'x,y,z'
'-x,-y,-z'
loop_
_atom_site_label
_atom_site_fract_x
_atom_site_fract_y
_atom_site_fract_z
_atom_site_occupancy
Ca1 0.098 0.238 0.073 1
Ca2 0.306 0.581 0.302 1
V1 0.067 0.756 0.600 1
V2 0.324 0.099 0.753 1
O1 0.091 0.052 0.269 1
O2 0.303 0.768 0.121 1
O3 0.328 0.282 0.569 1
O4 0.468 0.334 0.241 1
```

Peak list (10 most intense, 2θ = 15–90°, in order of rising 2θ)
| Position (°2θ) | d/Å | I_rel |
| --- | --- | --- |
| 20.2 | 4.388 | 66 |
| 20.6 | 4.319 | 100 |
| 29.8 | 2.996 | 89 |
| 31.7 | 2.819 | 54 |
| 32.6 | 2.743 | 83 |
| 32.7 | 2.737 | 78 |
| 33.3 | 2.692 | 61 |
| 38.3 | 2.348 | 64 |
| 45.7 | 1.985 | 85 |
| 45.8 | 1.980 | 62 |

---

2.
Structure and calculated powder diffractogram of SrEuYWO6 (a DFT-relaxed cell (GGA+U, the Materials Project); Cu Kα).

```
data_SrEuYWO6
_cell_length_a 8.400
_cell_length_b 8.400
_cell_length_c 8.400
_cell_angle_alpha 90.00
_cell_angle_beta 90.00
_cell_angle_gamma 90.00
_symmetry_space_group_name_H-M 'F -4 3 m'
_symmetry_Int_Tables_number 216
_symmetry_space_group_name_Hall 'F -4 2 3'
loop_
_atom_site_label
_atom_site_fract_x
_atom_site_fract_y
_atom_site_fract_z
_atom_site_occupancy
Sr1 0.000 0.000 0.000 1
Eu1 0.000 0.000 0.500 1
Y1 0.250 0.250 0.750 1
W1 0.250 0.250 0.250 1
O1 0.013 0.250 0.250 1
```

Peak list (10 most intense, 2θ = 15–90°, in order of rising 2θ)
| Position (°2θ) | d/Å | I_rel |
| --- | --- | --- |
| 18.3 | 4.850 | 13 |
| 30.1 | 2.970 | 100 |
| 35.4 | 2.533 | 7 |
| 43.1 | 2.100 | 30 |
| 53.4 | 1.715 | 41 |
| 57.0 | 1.617 | 3 |
| 62.5 | 1.485 | 19 |
| 71.0 | 1.328 | 18 |
| 79.0 | 1.212 | 6 |
| 86.7 | 1.123 | 22 |

---

3.
Structure and calculated powder diffractogram of LiNi4O8 (a DFT-relaxed cell (GGA+U, the Materials Project); Cu Kα).

```
data_LiNi4O8
_cell_length_a 9.873
_cell_length_b 5.598
_cell_length_c 5.279
_cell_angle_alpha 90.00
_cell_angle_beta 108.99
_cell_angle_gamma 90.00
_symmetry_space_group_name_H-M 'C 1 2/m 1'
_symmetry_Int_Tables_number 12
loop_
_symmetry_equiv_pos_as_xyz
'x,y,z'
'-x,-y,-z'
'-x,y,-z'
'x,-y,z'
'x+1/2,y+1/2,z'
'-x+1/2,-y+1/2,-z'
'-x+1/2,y+1/2,-z'
'x+1/2,-y+1/2,z'
loop_
_atom_site_label
_atom_site_fract_x
_atom_site_fract_y
_atom_site_fract_z
_atom_site_occupancy
Li1 0.000 0.000 0.000 1
Ni1 0.000 0.250 0.500 1
Ni2 0.248 0.500 0.489 1
O1 0.108 0.000 0.706 1
O2 0.111 0.500 0.696 1
O3 0.129 0.243 0.309 1
```

Peak list (10 most intense, 2θ = 15–90°, in order of rising 2θ)
| Position (°2θ) | d/Å | I_rel |
| --- | --- | --- |
| 17.8 | 4.992 | 100 |
| 36.8 | 2.441 | 10 |
| 37.5 | 2.401 | 18 |
| 38.8 | 2.320 | 6 |
| 43.6 | 2.074 | 15 |
| 44.5 | 2.035 | 27 |
| 48.0 | 1.896 | 6 |
| 57.6 | 1.601 | 10 |
| 62.4 | 1.489 | 7 |
| 65.8 | 1.418 | 7 |